(1)
Diffraction record for CaMnCoC2. The XRD peak list is computed, not measured: it uses a cell relaxed with GGA-PBE and CuKα.
No peak broadening, texture or thermal motion is included.

Structure:
```
data_CaMnCoC2
_cell_length_a 3.503
_cell_length_b 3.503
_cell_length_c 9.855
_cell_angle_alpha 90.00
_cell_angle_beta 90.00
_cell_angle_gamma 90.00
_symmetry_space_group_name_H-M 'I -4 m 2'
_symmetry_Int_Tables_number 119
_symmetry_space_group_name_Hall 'I -4 -2'
loop_
_atom_site_label
_atom_site_type_symbol
_atom_site_fract_x
_atom_site_fract_y
_atom_site_fract_z
Ca1 Ca 0.000 0.000 0.000
Mn1 Mn 0.000 0.500 0.250
Co1 Co 0.000 0.500 0.750
C1 C 0.000 0.000 0.330
```

The 10 most intense peaks (2θ from 10° to 90°), low angle first:
2theta  intensity  (hkl)
18.00  76  0 0 2
27.01  14  1 0 1
36.47  36  0 0 4
37.53  23  1 0 3
40.77  100  1 1 2
52.22  33  2 0 0
52.38  14  1 1 4
55.69  12  2 0 2
65.37  23  2 0 4
68.55  26  1 1 6



(2)
Diffraction record for YSc3C2. The XRD peak list is computed, not measured: it uses a cell relaxed with GGA-PBE and CuKα.
No peak broadening, texture or thermal motion is included.

Structure:
```
data_YSc3C2
_cell_length_a 8.1686
_cell_length_b 8.1686
_cell_length_c 10.0894
_cell_angle_alpha 90.00
_cell_angle_beta 90.00
_cell_angle_gamma 120.00
_symmetry_space_group_name_H-M 'R -3 m'
_symmetry_Int_Tables_number 166
_symmetry_space_group_name_Hall '-R 3 2"'
loop_
_atom_site_label
_atom_site_type_symbol
_atom_site_fract_x
_atom_site_fract_y
_atom_site_fract_z
Y1 Y 0.0000 0.0000 0.2485
Sc1 Sc 0.0008 0.5004 0.2502
C1 C 0.0000 0.0000 0.0000
C2 C 0.0000 0.5000 0.0000
```

The 10 most intense peaks (2θ from 10° to 90°), low angle first:
2theta  intensity  (hkl)
21.64  12  0 1 2
21.76  12  1 1 0
30.88  100  2 0 2
44.10  51  0 2 4
44.36  50  2 2 0
55.02  18  0 4 2
64.33  15  4 0 4
72.87  15  2 2 6
73.25  15  4 2 2
81.48  15  2 4 4



(3)
Diffraction record for In6PbS8. The XRD peak list is computed, not measured: it uses a cell relaxed with GGA-PBE and CuKα.
No peak broadening, texture or thermal motion is included.

Structure:
```
data_In6PbS8
_cell_length_a 10.4714
_cell_length_b 10.4714
_cell_length_c 12.2675
_cell_angle_alpha 90.00
_cell_angle_beta 90.00
_cell_angle_gamma 120.00
_symmetry_space_group_name_H-M 'R -3'
_symmetry_Int_Tables_number 148
_symmetry_space_group_name_Hall '-R 3'
loop_
_atom_site_label
_atom_site_type_symbol
_atom_site_fract_x
_atom_site_fract_y
_atom_site_fract_z
In1 In 0.0077 0.7618 0.3719
Pb1 Pb 0.0000 0.0000 0.0000
S1 S 0.0000 0.0000 0.3254
S2 S 0.0491 0.4493 0.7723
```

The 10 most intense peaks (2θ from 10° to 90°), low angle first:
2theta  intensity  (hkl)
20.89  45  0 2 1
21.73  51  0 0 3
27.01  45  2 1 1
29.55  29  3 0 0
29.86  100  3 -2 2
39.43  27  2 1 4
44.15  27  5 -2 1
45.86  29  1 4 0
47.76  26  1 1 6
51.29  30  4 1 3